No. 1
Starting from a structure optimized by DFT (GGA-PBE), the PXRD pattern of BaHgSe2 was calculated for Cu Kα (λ = 1.5418 Å).
Neutral-atom scattering factors, no anomalous dispersion.

Cell: 7.0346 7.0346 7.0346 Å, 111.34 111.34 105.79°
Atoms (fractional coordinates):
Ba: 0.0000 0.5000 0.5000
Ba: 0.5000 0.0000 0.5000
Hg: 0.2480 0.2480 0.0000
Hg: 0.7520 0.7520 0.0000
Se: 0.0270 0.0270 0.5567
Se: 0.4703 0.4703 0.4433
Se: 0.5297 0.9730 0.0000
Se: 0.9730 0.5297 0.0000

Largest 10 diffraction maxima, in order of rising 2θ, 10 to 90 degrees two-theta:
| 2θ (°) | I_rel |
| --- | --- |
| 20.9 | 20 |
| 22.4 | 21 |
| 26.3 | 100 |
| 31.9 | 60 |
| 41.8 | 52 |
| 45.7 | 22 |
| 53.5 | 18 |
| 54.2 | 27 |
| 63.7 | 19 |
| 64.3 | 15 |


No. 2
Starting from a structure optimized by DFT (GGA-PBE), the PXRD pattern of MnNb2S5 was calculated for Cu Kα (λ = 1.5418 Å).
Neutral-atom scattering factors, no anomalous dispersion.

Cell: 6.4461 6.4461 11.3038 Å, 90.00 90.00 135.62°
Atoms (fractional coordinates):
Mn: 0.1878 0.8122 0.7500
Mn: 0.8122 0.1878 0.2500
Nb: 0.1728 0.8272 0.0403
Nb: 0.1728 0.8272 0.4597
Nb: 0.8272 0.1728 0.5403
Nb: 0.8272 0.1728 0.9597
S: 0.0429 0.9571 0.6151
S: 0.0429 0.9571 0.8849
S: 0.2565 0.7435 0.2500
S: 0.3348 0.6652 0.5917
S: 0.3348 0.6652 0.9083
S: 0.6652 0.3348 0.0917
S: 0.6652 0.3348 0.4083
S: 0.7435 0.2565 0.7500
S: 0.9571 0.0429 0.1151
S: 0.9571 0.0429 0.3849

Largest 10 diffraction maxima, in order of rising 2θ, 10 to 90 degrees two-theta:
| 2θ (°) | I_rel |
| --- | --- |
| 14.8 | 100 |
| 15.7 | 45 |
| 19.7 | 84 |
| 28.0 | 57 |
| 36.9 | 69 |
| 38.5 | 59 |
| 43.5 | 55 |
| 47.0 | 26 |
| 54.4 | 40 |
| 85.1 | 26 |


No. 3
Starting from a structure optimized by DFT (GGA-PBE), the PXRD pattern of AcPm12Er5 was calculated for Cu Kα (λ = 1.5418 Å).
Neutral-atom scattering factors, no anomalous dispersion.

Cell: 10.5309 10.5309 5.8138 Å, 90.08 90.08 109.32°
Atoms (fractional coordinates):
Ac: 0.0000 0.0000 0.0000
Pm: 0.0299 0.6683 0.0033
Pm: 0.1707 0.5282 0.4964
Pm: 0.2054 0.2054 0.5329
Pm: 0.3081 0.3081 0.0316
Pm: 0.3317 0.9701 0.9967
Pm: 0.4718 0.8293 0.5036
Pm: 0.5282 0.1707 0.4964
Pm: 0.6683 0.0299 0.0033
Pm: 0.6919 0.6919 0.9684
Pm: 0.7946 0.7946 0.4671
Pm: 0.8293 0.4718 0.5036
Pm: 0.9701 0.3317 0.9967
Er: 0.1411 0.8589 0.5000
Er: 0.3614 0.6386 0.0000
Er: 0.5000 0.5000 0.5000
Er: 0.6386 0.3614 0.0000
Er: 0.8589 0.1411 0.5000

Largest 10 diffraction maxima, in order of rising 2θ, 10 to 90 degrees two-theta:
| 2θ (°) | I_rel |
| --- | --- |
| 30.8 | 27 |
| 31.1 | 100 |
| 31.2 | 26 |
| 44.4 | 16 |
| 44.6 | 6 |
| 54.9 | 19 |
| 55.3 | 6 |
| 55.5 | 11 |
| 61.7 | 7 |
| 61.9 | 7 |


No. 4
Starting from a structure optimized by DFT (GGA-PBE), the PXRD pattern of Sm5ThAl4 was calculated for Cu Kα (λ = 1.5418 Å).
Neutral-atom scattering factors, no anomalous dispersion.

Cell: 3.5093 3.5093 21.3933 Å, 90.00 90.00 90.00°
Atoms (fractional coordinates):
Sm: 0.0000 0.0000 0.0000
Sm: 0.0000 0.0000 0.1895
Sm: 0.0000 0.0000 0.3796
Sm: 0.0000 0.0000 0.6204
Sm: 0.0000 0.0000 0.8105
Th: 0.5000 0.5000 0.5000
Al: 0.5000 0.5000 0.0950
Al: 0.5000 0.5000 0.2854
Al: 0.5000 0.5000 0.7146
Al: 0.5000 0.5000 0.9050

Largest 10 diffraction maxima, in order of rising 2θ, 10 to 90 degrees two-theta:
| 2θ (°) | I_rel |
| --- | --- |
| 25.0 | 10 |
| 25.4 | 17 |
| 28.3 | 11 |
| 30.5 | 15 |
| 33.0 | 100 |
| 36.2 | 46 |
| 52.1 | 16 |
| 53.9 | 12 |
| 56.8 | 13 |
| 63.1 | 31 |


No. 5
Starting from a structure optimized by DFT (GGA-PBE), the PXRD pattern of Th3Al2Zn3 was calculated for Cu Kα (λ = 1.5418 Å).
Neutral-atom scattering factors, no anomalous dispersion.

Cell: 5.9483 5.9483 14.8144 Å, 90.00 90.00 135.91°
Atoms (fractional coordinates):
Th: 0.0845 0.9155 0.6127
Th: 0.0845 0.9155 0.8873
Th: 0.3712 0.6288 0.7500
Th: 0.6288 0.3712 0.2500
Th: 0.9155 0.0845 0.1127
Th: 0.9155 0.0845 0.3873
Al: 0.2081 0.7919 0.0982
Al: 0.2081 0.7919 0.4018
Al: 0.7919 0.2081 0.5982
Al: 0.7919 0.2081 0.9018
Zn: 0.3378 0.6622 0.2500
Zn: 0.3846 0.6154 0.5358
Zn: 0.3846 0.6154 0.9642
Zn: 0.6154 0.3846 0.0358
Zn: 0.6154 0.3846 0.4642
Zn: 0.6622 0.3378 0.7500

Largest 10 diffraction maxima, in order of rising 2θ, 10 to 90 degrees two-theta:
| 2θ (°) | I_rel |
| --- | --- |
| 22.3 | 28 |
| 24.2 | 29 |
| 32.1 | 47 |
| 32.4 | 100 |
| 34.4 | 17 |
| 36.5 | 18 |
| 40.0 | 12 |
| 40.4 | 25 |
| 52.5 | 15 |
| 54.1 | 21 |